No. 1
The following is a theoretical powder XRD pattern of Na2PrGe3Au12. It was derived from a DFT-relaxed cell (GGA-PBE, Alexandria), using Cu Kα (λ = 1.5418 Å).

Top 12 peaks for 2θ from 15° to 90°, in order of falling intensity:
2θ (°), I/Imax, (hkl)
38.68, 100.0, 2 2 0
51.30, 67.5, 2 2 6
31.27, 51.2, 1 2 2
32.37, 49.5, 0 0 6
19.06, 33.0, 1 1 0
36.59, 27.1, 2 1 4
24.55, 24.6, 2 0 2
30.93, 18.8, 0 2 4
79.27, 16.6, 6 0 6
58.29, 14.3, 5 0 2
37.84, 13.0, 1 1 6
33.34, 12.8, 3 0 0

Lattice parameters (Å, degrees): 9.3105 9.3105 16.5949 90.00 90.00 120.00
Space group R-3m (No. 166, hexagonal axes)
Unique sites:
Na1 0.0000 0.0000 0.0858 (multiplicity 6)
Pr1 0.0000 0.0000 0.5000 (multiplicity 3)
Ge1 0.0000 0.5000 0.0000 (multiplicity 9)
Au1 0.0228 0.5114 0.3224 (multiplicity 18)
Au2 0.0381 0.5191 0.8476 (multiplicity 18)

***

No. 2
The following is a theoretical powder XRD pattern of Na2SmGe3Au12. It was derived from a DFT-relaxed cell (GGA-PBE, Alexandria), using Cu Kα (λ = 1.5418 Å).

Top 12 peaks for 2θ from 15° to 90°, in order of falling intensity:
2θ (°), I/Imax, (hkl)
38.63, 100.0, 2 2 0
51.41, 70.7, 2 2 6
32.59, 48.9, 0 0 6
31.26, 44.0, 1 2 2
19.04, 32.1, 1 1 0
36.64, 25.3, 2 1 4
24.55, 22.4, 2 0 2
31.01, 20.0, 0 2 4
79.28, 14.8, 6 0 6
38.01, 13.2, 1 1 6
69.91, 12.9, 6 0 0
81.28, 12.9, 2 2 12

Lattice parameters (Å, degrees): 9.3224 9.3224 16.4878 90.00 90.00 120.00
Space group R-3m (No. 166, hexagonal axes)
Unique sites:
Na1 0.0000 0.0000 0.0874 (multiplicity 6)
Sm1 0.0000 0.0000 0.5000 (multiplicity 3)
Ge1 0.0000 0.5000 0.0000 (multiplicity 9)
Au1 0.0229 0.5115 0.3248 (multiplicity 18)
Au2 0.0313 0.5157 0.8463 (multiplicity 18)

***

No. 3
The following is a theoretical powder XRD pattern of Na2Sn3GeAu4. It was derived from a DFT-relaxed cell (GGA-PBE, Alexandria), using Cu Kα (λ = 1.5418 Å).

Top 12 peaks for 2θ from 15° to 90°, in order of falling intensity:
2θ (°), I/Imax, (hkl)
41.63, 100.0, 1 1 4
31.67, 80.9, 1 1 2
20.91, 78.9, 1 0 1
39.54, 70.0, 2 0 0
15.10, 46.7, 0 0 2
73.15, 40.6, 3 1 4
30.11, 29.2, 1 0 3
43.37, 25.5, 1 0 5
57.15, 24.1, 2 2 0
45.14, 22.3, 2 1 1
60.13, 19.6, 2 1 5
66.83, 19.2, 3 1 2

Lattice parameters (Å, degrees): 4.559 4.559 11.732 90.00 90.00 90.00
Space group P-4m2 (No. 115)
Unique sites:
Na1 0.000 0.500 0.248 (multiplicity 2)
Sn1 0.000 0.500 0.864 (multiplicity 2)
Sn2 0.500 0.500 0.500 (multiplicity 1)
Ge1 0.000 0.000 0.500 (multiplicity 1)
Au1 0.000 0.000 0.000 (multiplicity 1)
Au2 0.000 0.500 0.635 (multiplicity 2)
Au3 0.500 0.500 0.000 (multiplicity 1)

***

No. 4
The following is a theoretical powder XRD pattern of Nb2GeAu2Se4. It was derived from a DFT-relaxed cell (GGA-PBE, Alexandria), using Cu Kα (λ = 1.5418 Å).

Top 12 peaks for 2θ from 15° to 90°, in order of falling intensity:
2θ (°), I/Imax, (hkl)
29.75, 100.0, 1 0 0
35.31, 87.5, 0 1 4
38.13, 70.6, 1 0 5
52.80, 69.8, 1 1 0
41.35, 56.6, 1 0 6
44.90, 49.3, 0 1 7
30.12, 38.8, 0 1 1
82.27, 20.0, 1 1 12
28.05, 19.8, 0 0 6
61.77, 19.0, 2 0 0
65.12, 14.5, 2 0 4
73.84, 14.1, 1 1 10

Lattice parameters (Å, degrees): 3.4681 3.4681 19.0838 90.00 90.00 120.00
Space group P3m1 (No. 156)
Unique sites:
Nb1 0.0000 0.0000 0.0000 (multiplicity 1)
Nb2 0.3333 0.6667 0.3592 (multiplicity 1)
Ge1 0.3333 0.6667 0.6778 (multiplicity 1)
Au1 0.0000 0.0000 0.5840 (multiplicity 1)
Au2 0.0000 0.0000 0.7684 (multiplicity 1)
Se1 0.0000 0.0000 0.2709 (multiplicity 1)
Se2 0.0000 0.0000 0.4468 (multiplicity 1)
Se3 0.3333 0.6667 0.0882 (multiplicity 1)
Se4 0.3333 0.6667 0.9107 (multiplicity 1)

***

No. 5
The following is a theoretical powder XRD pattern of NdGe4Au12. It was derived from a DFT-relaxed cell (GGA-PBE, Alexandria), using Cu Kα (λ = 1.5418 Å).

Top 12 peaks for 2θ from 15° to 90°, in order of falling intensity:
2θ (°), I/Imax, (hkl)
31.27, 100.0, 3 1 0
37.19, 38.6, 3 2 1
51.52, 32.4, 4 1 3
70.63, 17.0, 6 3 1
49.36, 15.1, 4 2 2
44.81, 13.8, 4 0 2
61.51, 12.9, 6 0 0
59.60, 12.6, 5 0 3
80.95, 10.5, 7 0 3
84.31, 7.5, 7 3 2
47.13, 6.3, 3 3 2
74.12, 4.9, 5 3 4

Lattice parameters (Å, degrees): 9.045 9.045 9.045 90.00 90.00 90.00
Space group Im-3 (No. 204)
Unique sites:
Nd1 0.000 0.000 0.000 (multiplicity 2)
Ge1 0.250 0.250 0.250 (multiplicity 8)
Au1 0.000 0.154 0.343 (multiplicity 24)

***

No. 6
The following is a theoretical powder XRD pattern of Nd3Ge6Pt2Au. It was derived from a DFT-relaxed cell (GGA-PBE, Alexandria), using Cu Kα (λ = 1.5418 Å).

Top 12 peaks for 2θ from 15° to 90°, in order of falling intensity:
2θ (°), I/Imax, (hkl)
29.80, 100.0, 1 1 0
36.83, 96.3, 1 1 2
57.61, 43.7, 0 3 2
36.21, 39.7, 2 0 1
40.86, 35.7, 2 0 2
27.30, 31.3, 0 1 2
61.91, 29.8, 2 2 0
36.44, 23.5, 0 1 3
89.62, 21.7, 4 1 2
31.95, 19.5, 0 0 3
44.25, 19.1, 1 1 3
47.76, 19.0, 0 2 3

Lattice parameters (Å, degrees): 5.9955 5.9955 8.4046 90.00 90.00 120.00
Space group P-3m1 (No. 164)
Unique sites:
Nd1 0.0000 0.0000 0.0000 (multiplicity 1)
Nd2 0.3333 0.6667 0.6301 (multiplicity 2)
Ge1 0.1888 0.3776 0.2761 (multiplicity 6)
Pt1 0.3333 0.6667 0.0185 (multiplicity 2)
Au1 0.0000 0.0000 0.5000 (multiplicity 1)